1.
This entry pairs a crystal structure of TbHoCd14 with its simulated powder XRD pattern. Radiation: a wavelength of 1.5418 Å. Structure: a GGA-PBE-relaxed structure.

Largest 6 diffraction maxima, by angle, 10 to 90 degrees two-theta:
| d/Å | Rel. int. |
| --- | --- |
| 2.605 | 100 |
| 2.332 | 36 |
| 2.124 | 14 |
| 1.570 | 20 |
| 1.393 | 27 |
| 1.302 | 21 |

Structure:
```
data_TbHoCd14
_chemical_formula_sum 'Tb1 Ho1 Cd14'
_cell_length_a 6.5946
_cell_length_b 6.5946
_cell_length_c 8.4968
_cell_angle_alpha 90.00
_cell_angle_beta 90.00
_cell_angle_gamma 90.00
_symmetry_space_group_name_H-M 'P 4/m m m'
_symmetry_Int_Tables_number 123
_symmetry_space_group_name_Hall '-P 4 2'
loop_
_atom_site_label
_atom_site_fract_x
_atom_site_fract_y
_atom_site_fract_z
Tb1 0.0000 0.0000 0.0000
Ho1 0.5000 0.5000 0.0000
Cd1 0.0000 0.0000 0.5000
Cd2 0.0000 0.5000 0.0000
Cd3 0.0000 0.5000 0.5000
Cd4 0.2507 0.2507 0.2578
Cd5 0.5000 0.5000 0.5000
```



2.
This entry pairs a crystal structure of Tb7Ho4Cd with its simulated powder XRD pattern. Radiation: a wavelength of 1.5418 Å. Structure: a GGA-PBE-relaxed structure.

Largest 6 diffraction maxima, by angle, 10 to 90 degrees two-theta:
| d/Å | Rel. int. |
| --- | --- |
| 2.892 | 100 |
| 2.831 | 28 |
| 2.491 | 63 |
| 1.776 | 25 |
| 1.747 | 18 |
| 1.504 | 24 |

Structure:
```
data_Tb7Ho4Cd
_chemical_formula_sum 'Tb7 Ho4 Cd1'
_cell_length_a 3.5513
_cell_length_b 3.5513
_cell_length_c 33.9749
_cell_angle_alpha 90.00
_cell_angle_beta 90.00
_cell_angle_gamma 120.00
_symmetry_space_group_name_H-M 'P -3 m 1'
_symmetry_Int_Tables_number 164
_symmetry_space_group_name_Hall '-P 3 2"'
loop_
_atom_site_label
_atom_site_fract_x
_atom_site_fract_y
_atom_site_fract_z
Tb1 0.0000 0.0000 0.0000
Tb2 0.0000 0.0000 0.2553
Tb3 0.3333 0.6667 0.1698
Tb4 0.3333 0.6667 0.4246
Ho1 0.3333 0.6667 0.6597
Ho2 0.3333 0.6667 0.9150
Cd1 0.0000 0.0000 0.5000
```